[1]
For Ga2Ag2Se3S, a structure optimized by DFT (GGA-PBE) gives the simulated powder diffraction line list in this record (a wavelength of 1.5418 Å).

Main lines, sorted by position (2θ = 10–90°):
hkl  d_spacing  2theta  Rel. int.
1 1 1  3.372  26.43  91.1
3 1 -1  3.355  26.57  100.0
2 2 -2  2.119  42.68  47.4
4 2 0  2.036  44.51  65.0
6 0 -2  2.022  44.83  21.2
1 3 1  1.797  50.81  28.7
1 1 -3  1.792  50.95  14.8
5 1 -3  1.785  51.18  13.1

Crystal structure
Cell lengths 12.5334, 6.0120, 5.9736 Å; angles 90.00, 118.05, 90.00 degrees
Element x y z (fractional)
Ga 0.1218 0.0000 0.3805
Ga 0.3782 0.5000 0.6195
Ga 0.6218 0.5000 0.3805
Ga 0.8782 0.0000 0.6195
Ag 0.1213 0.5167 0.8629
Ag 0.3787 0.0167 0.1371
Ag 0.6213 0.0167 0.8629
Ag 0.8787 0.5167 0.1371
Se 0.0000 0.2243 0.0000
Se 0.2504 0.2564 0.7212
Se 0.2496 0.7564 0.2788
Se 0.5000 0.7243 0.0000
Se 0.7496 0.2564 0.2788
Se 0.7504 0.7564 0.7212
S 0.0000 0.7906 0.5000
S 0.5000 0.2906 0.5000



[2]
For Ga2Ag2SeS3, a structure optimized by DFT (GGA-PBE) gives the simulated powder diffraction line list in this record (a wavelength of 1.5418 Å).

Main lines, sorted by position (2θ = 10–90°):
hkl  d_spacing  2theta  Rel. int.
1 1 1  3.292  27.08  90.9
3 1 -1  3.265  27.31  100.0
2 2 -2  2.070  43.73  42.2
2 0 2  1.994  45.48  19.6
4 2 0  1.976  45.94  37.4
6 0 -2  1.970  46.07  18.5
1 3 1  1.748  52.33  29.5
5 1 1  1.648  55.79  15.9

Crystal structure
Cell lengths 12.1813, 5.8334, 5.8761 Å; angles 90.00, 118.14, 90.00 degrees
Element x y z (fractional)
Ga 0.1280 0.0000 0.3853
Ga 0.3720 0.5000 0.6147
Ga 0.6280 0.5000 0.3853
Ga 0.8720 0.0000 0.6147
Ag 0.1295 0.5168 0.8701
Ag 0.3705 0.0168 0.1299
Ag 0.6295 0.0168 0.8701
Ag 0.8705 0.5168 0.1299
Se 0.0000 0.2246 0.0000
Se 0.5000 0.7246 0.0000
S 0.0000 0.7901 0.5000
S 0.2503 0.2538 0.7116
S 0.2497 0.7538 0.2884
S 0.5000 0.2901 0.5000
S 0.7497 0.2538 0.2884
S 0.7503 0.7538 0.7116



[3]
For GaAgSeS, a structure optimized by DFT (GGA-PBE) gives the simulated powder diffraction line list in this record (a wavelength of 1.5418 Å).

Main lines, sorted by position (2θ = 10–90°):
hkl  d_spacing  2theta  Rel. int.
1 1 2  3.324  26.82  100.0
2 2 0  2.094  43.20  24.0
0 2 4  2.016  44.95  21.6
2 0 4  2.000  45.35  20.8
1 3 2  1.783  51.23  15.3
3 1 2  1.760  51.94  14.4
1 1 6  1.670  54.97  12.0
2 2 8  1.145  84.68  9.2

Crystal structure
Cell lengths 5.8703, 5.9764, 10.9297 Å; angles 90.00, 90.00, 90.00 degrees
Element x y z (fractional)
Ga 0.0000 0.2500 0.1185
Ga 0.0000 0.7500 0.3815
Ga 0.5000 0.2500 0.8815
Ga 0.5000 0.7500 0.6185
Ag 0.0000 0.2500 0.6161
Ag 0.0000 0.7500 0.8839
Ag 0.5000 0.2500 0.3839
Ag 0.5000 0.7500 0.1161
Se 0.2198 0.5000 0.2500
Se 0.2802 0.5000 0.7500
Se 0.7198 0.0000 0.7500
Se 0.7802 0.0000 0.2500
S 0.2500 0.0400 0.0000
S 0.2500 0.9600 0.5000
S 0.7500 0.4600 0.0000
S 0.7500 0.5400 0.5000



[4]
For GaAgSe2, a structure optimized by DFT (GGA-PBE) gives the simulated powder diffraction line list in this record (a wavelength of 1.5418 Å).

Main lines, sorted by position (2θ = 10–90°):
hkl  d_spacing  2theta  Rel. int.
1 0 1  3.405  26.17  100.0
1 1 2  2.121  42.63  51.1
2 0 0  2.019  44.90  22.7
1 0 3  1.872  48.65  16.7
2 1 1  1.737  52.71  27.8
2 1 3  1.373  68.34  11.6
2 0 4  1.246  76.42  7.8
3 1 2  1.184  81.23  14.9

Crystal structure
Cell lengths 4.0377, 4.0377, 6.3369 Å; angles 90.00, 90.00, 90.00 degrees
Element x y z (fractional)
Ga 0.0000 0.0000 0.0000
Ag 0.5000 0.5000 0.5000
Se 0.0000 0.5000 0.2280
Se 0.5000 0.0000 0.7720